Starting from a cell relaxed with GGA-PBE, the powder diffractogram of Pa2AgAs2N2 was computed for Cu Kα, 1.54184 Å.
No peak broadening, texture or thermal motion is included.

Structural model:
Cell: 3.8887 3.8887 11.7049 Å, 90.00 90.00 120.00°
Element x y z (fractional)
Pa 0.3333 0.6667 0.1259
Pa 0.6667 0.3333 0.8741
Ag 0.0000 0.0000 0.5000
As 0.0000 0.0000 0.2883
As 0.0000 0.0000 0.7117
N 0.3333 0.6667 0.9276
N 0.6667 0.3333 0.0724

Top 10 peaks for 10° ≤ 2θ ≤ 90°, in order of falling intensity:
| index | Position (°2θ) | I (rel.) |
| --- | --- | --- |
| 1 0 1 | 27.56 | 100 |
| 1 0 2 | 30.62 | 65 |
| 1 1 0 | 46.72 | 38 |
| 1 0 4 | 40.85 | 37 |
| 0 1 3 | 35.20 | 26 |
| 1 1 5 | 62.03 | 25 |
| 0 2 2 | 56.89 | 17 |
| 0 0 3 | 22.79 | 16 |
| 1 0 6 | 54.35 | 15 |
| 0 2 1 | 55.10 | 15 |

=====

Starting from a cell relaxed with GGA-PBE, the powder diffractogram of NbAgAs was computed for Cu Kα, 1.54184 Å.
No peak broadening, texture or thermal motion is included.

Structural model:
Cell: 3.7341 3.7341 7.7156 Å, 90.00 90.00 90.00°
Element x y z (fractional)
Nb 0.2500 0.2500 0.1379
Nb 0.7500 0.7500 0.8621
Ag 0.2500 0.7500 0.5000
Ag 0.7500 0.2500 0.5000
As 0.2500 0.2500 0.7968
As 0.7500 0.7500 0.2032

Top 10 peaks for 10° ≤ 2θ ≤ 90°, in order of falling intensity:
| index | Position (°2θ) | I (rel.) |
| --- | --- | --- |
| 1 1 1 | 35.95 | 100 |
| 1 1 2 | 41.44 | 64 |
| 0 0 3 | 34.89 | 45 |
| 2 0 0 | 48.77 | 43 |
| 2 0 3 | 61.36 | 33 |
| 1 1 4 | 59.33 | 17 |
| 3 1 1 | 82.67 | 17 |
| 1 0 3 | 42.69 | 15 |
| 3 1 2 | 86.12 | 15 |
| 2 2 3 | 82.05 | 14 |

=====

Starting from a cell relaxed with GGA-PBE, the powder diffractogram of NiAg2As was computed for Cu Kα, 1.54184 Å.
No peak broadening, texture or thermal motion is included.

Structural model:
Cell: 3.0246 3.0246 7.1903 Å, 90.00 90.00 90.00°
Element x y z (fractional)
Ni 0.0000 0.0000 0.0000
Ag 0.0000 0.0000 0.5315
Ag 0.5000 0.5000 0.2562
As 0.5000 0.5000 0.8409

Top 10 peaks for 10° ≤ 2θ ≤ 90°, in order of falling intensity:
| index | Position (°2θ) | I (rel.) |
| --- | --- | --- |
| 1 0 2 | 38.91 | 100 |
| 1 1 0 | 42.26 | 47 |
| 2 1 2 | 75.03 | 27 |
| 1 0 1 | 32.10 | 18 |
| 2 0 0 | 61.30 | 15 |
| 1 1 3 | 57.78 | 11 |
| 0 0 3 | 37.53 | 10 |
| 1 1 4 | 68.14 | 10 |
| 1 0 5 | 72.82 | 10 |
| 0 0 4 | 50.79 | 7 |